Simulated X-ray powder pattern of AlCoCu for CuKα, from a crystal structure in Alexandria, relaxed with GGA-PBE.
Lines closer than 0.1° are merged.

Principal peaks in the range 2θ from 15° to 90°, sorted by position:
26.28 deg, d = 3.391 Å, I 58, (0 2 1)
43.62 deg, d = 2.075 Å, I 216, (0 6 0)
44.79 deg, d = 2.023 Å, I 1000, (1 3 1)
64.32 deg, d = 1.448 Å, I 125, (0 6 2)
66.06 deg, d = 1.414 Å, I 58, (2 0 0)
80.93 deg, d = 1.188 Å, I 123, (1 9 1)
82.60 deg, d = 1.168 Å, I 177, (1 3 3)
83.39 deg, d = 1.159 Å, I 58, (2 0 2)

Atomic structure:
```
12
Lattice="2.829 0.000 0.000 0.000 12.451 0.000 0.000 0.000 4.044" Properties=species:S:1:pos:R:3 pbc="T T T"
Al 0.000 0.995 1.011
Al 0.000 11.456 3.033
Al 1.414 5.231 3.033
Al 1.414 7.220 1.011
Co 0.000 5.209 1.011
Co 0.000 7.242 3.033
Co 1.414 1.016 3.033
Co 1.414 11.435 1.011
Cu 0.000 3.136 3.033
Cu 0.000 9.315 1.011
Cu 1.414 3.089 1.011
Cu 1.414 9.361 3.033
```